1.
Theoretical X-ray diffraction stick pattern of YScAs2Pd2 for Cu Kα, from a structure optimized by DFT (PBE).

Cell and atoms:
```
24
Lattice="8.856 0.000 0.000 0.000 4.421 0.000 -4.404 0.000 12.514" Properties=species:S:1:pos:R:3 pbc="T T T"
Y 0.000 0.000 0.000
Y -2.188 2.210 9.301
Y 0.037 0.000 6.191
Y 0.068 0.000 12.495
Sc 2.253 2.210 3.113
Sc 2.287 2.210 9.318
Sc 4.443 0.000 6.182
Sc 6.657 2.210 3.134
As 0.022 0.000 3.132
As 2.232 2.210 0.024
As 0.067 0.000 9.339
As 2.273 2.210 6.159
As 4.460 0.000 3.111
As 2.266 2.210 12.483
As 4.442 0.000 9.275
As 6.636 2.210 6.180
Pd 0.017 2.210 1.677
Pd -2.180 0.000 10.915
Pd 0.146 2.210 7.823
Pd 2.310 0.000 4.598
Pd 4.464 2.210 1.655
Pd 2.272 0.000 10.794
Pd 4.394 2.210 7.689
Pd 6.598 0.000 4.617
```

Main lines, most intense first (2θ = 10–90°):
two_theta	intensity
40.79	100
24.64	48
74.29	24
48.24	22
59.06	16
74.15	8
88.45	5
88.29	5
79.64	5
65.02	4

---

2.
Theoretical X-ray diffraction stick pattern of SrSiAsPd2 for Cu Kα, from a structure optimized by DFT (PBE).

Cell and atoms:
```
5
Lattice="-2.173 2.173 5.068 2.173 -2.173 5.068 2.173 2.173 -5.068" Properties=species:S:1:pos:R:3 pbc="T T T"
Sr 0.000 0.000 0.000
Si 0.000 0.000 6.404
As 0.000 0.000 3.947
Pd 2.173 0.000 2.493
Pd 0.000 2.173 2.493
```

Main lines, most intense first (2θ = 10–90°):
two_theta	intensity
34.12	100
41.56	47
33.60	25
71.07	23
46.44	21
17.50	19
60.23	15
54.46	12
62.76	12
55.72	10

---

3.
Theoretical X-ray diffraction stick pattern of TbAsPd for Cu Kα, from a structure optimized by DFT (PBE).

Cell and atoms:
```
12
Lattice="7.055 0.000 0.000 0.000 4.160 0.000 0.000 0.000 7.963" Properties=species:S:1:pos:R:3 pbc="T T T"
Tb 0.201 1.040 1.513
Tb 3.327 3.120 5.495
Tb 3.728 1.040 2.468
Tb 6.854 3.120 6.449
As 1.745 3.120 3.022
As 1.783 1.040 7.003
As 5.272 3.120 0.959
As 5.310 1.040 4.941
Pd 1.018 1.040 4.477
Pd 2.509 3.120 0.496
Pd 4.546 1.040 7.467
Pd 6.036 3.120 3.485
```

Main lines, most intense first (2θ = 10–90°):
two_theta	intensity
35.21	100
33.65	67
40.31	44
43.51	41
33.30	36
36.16	32
33.95	23
65.39	22
39.98	18
74.47	18

---

Please write out number 1 again, unchanged.
Theoretical X-ray diffraction stick pattern of YScAs2Pd2 for Cu Kα, from a structure optimized by DFT (PBE).

Cell and atoms:
```
24
Lattice="8.856 0.000 0.000 0.000 4.421 0.000 -4.404 0.000 12.514" Properties=species:S:1:pos:R:3 pbc="T T T"
Y 0.000 0.000 0.000
Y -2.188 2.210 9.301
Y 0.037 0.000 6.191
Y 0.068 0.000 12.495
Sc 2.253 2.210 3.113
Sc 2.287 2.210 9.318
Sc 4.443 0.000 6.182
Sc 6.657 2.210 3.134
As 0.022 0.000 3.132
As 2.232 2.210 0.024
As 0.067 0.000 9.339
As 2.273 2.210 6.159
As 4.460 0.000 3.111
As 2.266 2.210 12.483
As 4.442 0.000 9.275
As 6.636 2.210 6.180
Pd 0.017 2.210 1.677
Pd -2.180 0.000 10.915
Pd 0.146 2.210 7.823
Pd 2.310 0.000 4.598
Pd 4.464 2.210 1.655
Pd 2.272 0.000 10.794
Pd 4.394 2.210 7.689
Pd 6.598 0.000 4.617
```

Main lines, most intense first (2θ = 10–90°):
two_theta	intensity
40.79	100
24.64	48
74.29	24
48.24	22
59.06	16
74.15	8
88.45	5
88.29	5
79.64	5
65.02	4